Diffraction record for Rb3BaV2F9. The PXRD pattern is theoretical, not measured: it uses a PBE+U-relaxed structure and λ = 1.5418 Å (Cu Kα).

Main lines, by angle (10° ≤ 2θ ≤ 90°):
| 2θ (°) | I (rel.) |
| --- | --- |
| 19.6 | 20.6 |
| 27.1 | 100.0 |
| 28.5 | 88.1 |
| 39.7 | 79.9 |
| 46.9 | 21.7 |
| 49.7 | 33.8 |
| 55.8 | 19.3 |
| 59.1 | 23.3 |

Cell and atoms:
abc: 6.2534 6.2534 8.3022
angles: 90.00 90.00 120.00
Space group P-3m1 (No. 164)
One atom of each set of equivalent atoms:
Rb 0.0000 0.0000 0.0000 x1
Rb 0.3333 0.6667 0.7244 x2
Ba 0.0000 0.0000 0.5000 x1
V 0.3333 0.6667 0.1480 x2
F 0.0000 0.5000 0.0000 x3
F 0.1760 0.3520 0.2946 x6